[1]
Simulated X-ray powder pattern
Compound: Ac4Tb2Pr
Radiation: CuKα
Structure: a cell relaxed with GGA-PBE
No peak broadening, texture or thermal motion is included.

Largest 6 diffraction maxima, in order of rising 2θ, 10 to 80 degrees two-theta:
2θ (°)	d (Å)	Rel. int.	hkl
28.46	3.136	42	0 4 1
28.58	3.123	100	1 1 -4
29.80	2.998	67	2 2 -1
30.14	2.965	36	1 3 2
30.62	2.919	29	2 2 -2
34.78	2.579	28	1 3 3

Crystal structure
Cell lengths 6.7676, 12.9380, 13.2426 Å; angles 90.00, 104.80, 90.00 degrees
Space group Cc (No. 9)
Inequivalent atoms, fractional coordinates:
Ac1 0.0000 0.0634 0.0000 (multiplicity 4)
Ac2 0.2105 0.3132 0.9186 (multiplicity 4)
Ac3 0.3030 0.1737 0.5690 (multiplicity 4)
Ac4 0.4424 0.0756 0.8497 (multiplicity 4)
Tb1 0.0501 0.3988 0.6432 (multiplicity 4)
Tb2 0.1152 0.1482 0.2747 (multiplicity 4)
Pr1 0.3714 0.3739 0.2094 (multiplicity 4)

***

[2]
Simulated X-ray powder pattern
Compound: Ac2TbPr8
Radiation: CuKα
Structure: a cell relaxed with GGA-PBE
No peak broadening, texture or thermal motion is included.

Largest 6 diffraction maxima, in order of rising 2θ, 10 to 80 degrees two-theta:
2θ (°)	d (Å)	Rel. int.	hkl
28.40	3.143	62	3 1 -2
28.50	3.132	39	2 2 0
31.01	2.884	80	0 0 3
31.14	2.872	40	4 0 1
31.40	2.849	100	2 2 1
33.48	2.676	77	2 2 -2

Crystal structure
Cell lengths 13.5346, 7.1172, 8.8790 Å; angles 90.00, 103.03, 90.00 degrees
Space group C2/m (No. 12)
Inequivalent atoms, fractional coordinates:
Ac1 0.1693 0.0000 0.2009 (multiplicity 4)
Tb1 0.0000 0.0000 0.5000 (multiplicity 2)
Pr1 0.0605 0.2717 0.8393 (multiplicity 8)
Pr2 0.1226 0.5000 0.4873 (multiplicity 4)
Pr3 0.2267 0.5000 0.1788 (multiplicity 4)

***

[3]
Simulated X-ray powder pattern
Compound: Ac3TbPr4Te8
Radiation: CuKα
Structure: a cell relaxed with GGA-PBE
No peak broadening, texture or thermal motion is included.

Largest 6 diffraction maxima, in order of rising 2θ, 10 to 80 degrees two-theta:
2θ (°)	d (Å)	Rel. int.	hkl
27.47	3.247	100	4 0 0
39.15	2.301	39	2 2 2
39.31	2.292	38	6 2 -2
48.45	1.879	14	4 4 0
64.01	1.455	18	6 2 2
64.24	1.450	18	10 2 -2

Crystal structure
Cell lengths 15.8633, 9.2134, 9.1573 Å; angles 90.00, 125.03, 90.00 degrees
Space group C2/m (No. 12)
Inequivalent atoms, fractional coordinates:
Ac1 0.0000 0.0000 0.0000 (multiplicity 2)
Ac2 0.2500 0.2500 0.5000 (multiplicity 4)
Tb1 0.0000 0.5000 0.0000 (multiplicity 2)
Pr1 0.0000 0.0000 0.5000 (multiplicity 2)
Pr2 0.0000 0.5000 0.5000 (multiplicity 2)
Pr3 0.2500 0.2500 0.0000 (multiplicity 4)
Te1 0.0039 0.2591 0.7551 (multiplicity 8)
Te2 0.2449 0.5000 0.2371 (multiplicity 4)
Te3 0.2460 0.5000 0.7541 (multiplicity 4)

***

[4]
Simulated X-ray powder pattern
Compound: AcTbPr2Tl2
Radiation: CuKα
Structure: a cell relaxed with GGA-PBE
No peak broadening, texture or thermal motion is included.

Largest 6 diffraction maxima, in order of rising 2θ, 10 to 80 degrees two-theta:
2θ (°)	d (Å)	Rel. int.	hkl
27.84	3.204	75	1 2 1
29.02	3.076	100	1 1 2
33.21	2.698	37	1 3 0
34.84	2.575	28	1 3 1
36.35	2.471	32	0 2 3
36.48	2.463	43	2 0 0

Crystal structure
Cell lengths 4.9264, 9.6729, 8.6254 Å; angles 90.00, 90.00, 90.00 degrees
Space group Pmc2_1 (No. 26)
Inequivalent atoms, fractional coordinates:
Ac1 0.0000 0.0829 0.0000 (multiplicity 2)
Tb1 0.5000 0.1869 0.6653 (multiplicity 2)
Pr1 0.0000 0.3256 0.3854 (multiplicity 2)
Pr2 0.5000 0.4200 0.0527 (multiplicity 2)
Tl1 0.0000 0.3707 0.7604 (multiplicity 2)
Tl2 0.5000 0.1228 0.2904 (multiplicity 2)

***

[5]
Simulated X-ray powder pattern
Compound: Ac2Tb2Pr4Y
Radiation: CuKα
Structure: a cell relaxed with GGA-PBE
No peak broadening, texture or thermal motion is included.

Largest 6 diffraction maxima, in order of rising 2θ, 10 to 80 degrees two-theta:
2θ (°)	d (Å)	Rel. int.	hkl
29.29	3.049	100	3 1 1
29.36	3.042	33	6 0 -1
33.90	2.645	45	3 1 -2
34.13	2.627	22	6 0 2
48.80	1.866	24	3 1 4
57.83	1.594	29	6 2 -1

Crystal structure
Cell lengths 19.3245, 3.7442, 9.1430 Å; angles 90.00, 90.26, 90.00 degrees
Space group C2/m (No. 12)
Inequivalent atoms, fractional coordinates:
Ac1 0.1105 0.0000 0.1722 (multiplicity 4)
Tb1 0.1679 0.5000 0.5033 (multiplicity 4)
Pr1 0.0581 0.5000 0.8226 (multiplicity 4)
Pr2 0.2208 0.0000 0.8266 (multiplicity 4)
Y1 0.0000 0.0000 0.5000 (multiplicity 2)

***

[6]
Simulated X-ray powder pattern
Compound: Ac4PrTe5
Radiation: CuKα
Structure: a cell relaxed with GGA-PBE
No peak broadening, texture or thermal motion is included.

Largest 6 diffraction maxima, in order of rising 2θ, 10 to 80 degrees two-theta:
2θ (°)	d (Å)	Rel. int.	hkl
26.87	3.318	100	1 0 10
38.22	2.355	40	1 1 0
38.52	2.337	38	0 1 20
47.34	1.920	22	0 2 10
62.40	1.488	19	2 1 10
62.81	1.479	17	1 1 30

Crystal structure
Cell lengths 4.7093, 4.7093, 57.0457 Å; angles 90.00, 90.00, 120.00 degrees
Space group R-3m (No. 166, hexagonal axes)
Inequivalent atoms, fractional coordinates:
Ac1 0.0000 0.0000 0.1024 (multiplicity 6)
Ac2 0.0000 0.0000 0.2994 (multiplicity 6)
Pr1 0.0000 0.0000 0.5000 (multiplicity 3)
Te1 0.0000 0.0000 0.0000 (multiplicity 3)
Te2 0.0000 0.0000 0.1973 (multiplicity 6)
Te3 0.0000 0.0000 0.4015 (multiplicity 6)

***

[7]
Simulated X-ray powder pattern
Compound: AcPr4Te7
Radiation: CuKα
Structure: a cell relaxed with GGA-PBE
No peak broadening, texture or thermal motion is included.

Largest 6 diffraction maxima, in order of rising 2θ, 10 to 80 degrees two-theta:
2θ (°)	d (Å)	Rel. int.	hkl
20.23	4.390	54	2 0 2
26.05	3.421	60	2 0 3
26.91	3.313	91	3 1 -1
28.27	3.157	100	3 1 -2
29.16	3.062	71	3 1 1
40.72	2.216	63	0 2 0

Crystal structure
Cell lengths 15.0709, 4.4323, 13.7099 Å; angles 90.00, 104.54, 90.00 degrees
Space group Cm (No. 8)
Inequivalent atoms, fractional coordinates:
Ac1 0.0000 0.0000 0.0000 (multiplicity 2)
Pr1 0.1154 0.0000 0.4243 (multiplicity 2)
Pr2 0.2299 0.0000 0.8386 (multiplicity 2)
Pr3 0.3168 0.5000 0.2389 (multiplicity 2)
Pr4 0.4135 0.0000 0.6083 (multiplicity 2)
Te1 0.0735 0.0000 0.6374 (multiplicity 2)
Te2 0.1182 0.5000 0.9161 (multiplicity 2)
Te3 0.1579 0.0000 0.2114 (multiplicity 2)
Te4 0.2759 0.5000 0.4705 (multiplicity 2)
Te5 0.3543 0.5000 0.7653 (multiplicity 2)
Te6 0.3652 0.0000 0.0736 (multiplicity 2)
Te7 0.4553 0.0000 0.3749 (multiplicity 2)

***

[8]
Simulated X-ray powder pattern
Compound: Ac3Pr5Te8
Radiation: CuKα
Structure: a cell relaxed with GGA-PBE
No peak broadening, texture or thermal motion is included.

Largest 6 diffraction maxima, in order of rising 2θ, 10 to 80 degrees two-theta:
2θ (°)	d (Å)	Rel. int.	hkl
22.41	3.967	3	2 0 0
31.90	2.805	100	2 2 0
45.74	1.984	18	4 0 0
56.84	1.620	39	4 2 2
66.68	1.403	12	4 4 0
75.83	1.255	17	6 2 0

Crystal structure
Cell lengths 7.9348, 7.9348, 7.9348 Å; angles 90.00, 90.00, 90.00 degrees
Space group Pm-3m (No. 221)
Inequivalent atoms, fractional coordinates:
Ac1 0.0000 0.0000 0.5000 (multiplicity 3)
Pr1 0.0000 0.0000 0.0000 (multiplicity 1)
Pr2 0.0000 0.5000 0.5000 (multiplicity 3)
Pr3 0.5000 0.5000 0.5000 (multiplicity 1)
Te1 0.2529 0.2529 0.2529 (multiplicity 8)

***

[9]
Simulated X-ray powder pattern
Compound: Ac4PrTe7
Radiation: CuKα
Structure: a cell relaxed with GGA-PBE
No peak broadening, texture or thermal motion is included.

Largest 6 diffraction maxima, in order of rising 2θ, 10 to 80 degrees two-theta:
2θ (°)	d (Å)	Rel. int.	hkl
20.03	4.433	60	2 0 2
26.38	3.378	100	3 1 0
27.44	3.250	86	3 1 -2
28.39	3.144	65	3 1 1
35.10	2.557	62	1 1 4
39.29	2.293	78	0 2 0

Crystal structure
Cell lengths 15.5070, 4.5848, 13.7723 Å; angles 90.00, 105.06, 90.00 degrees
Space group Cm (No. 8)
Inequivalent atoms, fractional coordinates:
Ac1 0.0000 0.0000 0.0000 (multiplicity 2)
Ac2 0.0989 0.5000 0.3819 (multiplicity 2)
Ac3 0.2017 0.0000 0.7725 (multiplicity 2)
Ac4 0.3983 0.5000 0.5627 (multiplicity 2)
Pr1 0.2733 0.5000 0.1425 (multiplicity 2)
Te1 0.0600 0.5000 0.6217 (multiplicity 2)
Te2 0.1264 0.5000 0.9236 (multiplicity 2)
Te3 0.1584 0.0000 0.2214 (multiplicity 2)
Te4 0.2369 0.0000 0.5241 (multiplicity 2)
Te5 0.3569 0.5000 0.7820 (multiplicity 2)
Te6 0.3634 0.0000 0.0435 (multiplicity 2)
Te7 0.4347 0.5000 0.3386 (multiplicity 2)

***

[10]
Simulated X-ray powder pattern
Compound: Ac5PrTe6
Radiation: CuKα
Structure: a cell relaxed with GGA-PBE
No peak broadening, texture or thermal motion is included.

Largest 6 diffraction maxima, in order of rising 2θ, 10 to 80 degrees two-theta:
2θ (°)	d (Å)	Rel. int.	hkl
26.83	3.323	100	2 0 -2
38.25	2.353	39	1 3 -3
38.32	2.349	26	3 3 -1
47.28	1.923	14	2 6 -2
47.50	1.914	14	0 0 4
62.50	1.486	25	3 3 -5

Crystal structure
Cell lengths 8.1271, 14.1399, 8.1369 Å; angles 90.00, 109.69, 90.00 degrees
Space group C2/m (No. 12)
Inequivalent atoms, fractional coordinates:
Ac1 0.0000 0.0000 0.0000 (multiplicity 2)
Ac2 0.0000 0.1653 0.5000 (multiplicity 4)
Ac3 0.0000 0.3300 0.0000 (multiplicity 4)
Pr1 0.0000 0.5000 0.5000 (multiplicity 2)
Te1 0.2428 0.5000 0.2505 (multiplicity 4)
Te2 0.2443 0.3365 0.7444 (multiplicity 8)

***

[11]
Simulated X-ray powder pattern
Compound: AcPr5Th
Radiation: CuKα
Structure: a cell relaxed with GGA-PBE
No peak broadening, texture or thermal motion is included.

Largest 6 diffraction maxima, in order of rising 2θ, 10 to 80 degrees two-theta:
2θ (°)	d (Å)	Rel. int.	hkl
15.24	5.812	13	1 0 0
30.80	2.903	100	2 0 0
44.07	2.055	14	2 2 0
54.74	1.677	26	3 1 2
54.85	1.674	9	2 0 4
72.78	1.299	12	4 2 0

Crystal structure
Cell lengths 5.8121, 5.8121, 8.1907 Å; angles 90.00, 90.00, 90.00 degrees
Space group P4/mmm (No. 123)
Inequivalent atoms, fractional coordinates:
Ac1 0.0000 0.0000 0.0000 (multiplicity 1)
Pr1 0.0000 0.5000 0.2881 (multiplicity 4)
Pr2 0.5000 0.5000 0.0000 (multiplicity 1)
Th1 0.0000 0.0000 0.5000 (multiplicity 1)

***

[12]
Simulated X-ray powder pattern
Compound: Ac2Pr2Tl7
Radiation: CuKα
Structure: a cell relaxed with GGA-PBE
No peak broadening, texture or thermal motion is included.

Largest 6 diffraction maxima, in order of rising 2θ, 10 to 80 degrees two-theta:
2θ (°)	d (Å)	Rel. int.	hkl
22.83	3.896	51	2 0 1
25.44	3.502	48	2 2 0
31.49	2.841	38	0 4 0
33.19	2.699	30	0 0 3
33.90	2.645	100	2 2 2
42.30	2.137	27	2 2 3

Crystal structure
Cell lengths 8.8890, 11.3625, 8.0924 Å; angles 90.00, 90.00, 90.00 degrees
Space group Cmmm (No. 65)
Inequivalent atoms, fractional coordinates:
Ac1 0.0000 0.1958 0.0000 (multiplicity 4)
Pr1 0.1849 0.5000 0.5000 (multiplicity 4)
Tl1 0.0000 0.0000 0.3091 (multiplicity 4)
Tl2 0.0000 0.5000 0.0000 (multiplicity 2)
Tl3 0.2500 0.2500 0.3069 (multiplicity 8)